Structure and theoretical powder XRD pattern of PuInO (a DFT-relaxed cell (GGA-PBE, Alexandria); a wavelength of 1.5418 Å).

Structure:
```
data_PuInO
_chemical_formula_sum 'Pu2 In2 O2'
_cell_length_a 10.648
_cell_length_b 10.648
_cell_length_c 10.648
_cell_angle_alpha 20.78
_cell_angle_beta 20.78
_cell_angle_gamma 20.78
_space_group_name_H-M_alt 'P 1'
_space_group_IT_number 1
loop_
_space_group_symop_operation_xyz
'x,y,z'
loop_
_atom_site_label
_atom_site_type_symbol
_atom_site_fract_x
_atom_site_fract_y
_atom_site_fract_z
Pu1 Pu 0.120 0.120 0.120
Pu2 Pu 0.880 0.880 0.880
In1 In 0.369 0.369 0.369
In2 In 0.631 0.631 0.631
O1 O 0.196 0.196 0.196
O2 O 0.804 0.804 0.804
```

Main lines, by angle (10 to 80 degrees two-theta):
2θ/deg, I_rel
25.66, 9
26.96, 9
29.19, 100
34.45, 20
35.46, 53
46.63, 9
47.35, 30
54.50, 15
56.60, 16
59.86, 25
60.52, 12
76.82, 13